Starting from a DFT-relaxed cell (PBE, Alexandria), the powder XRD pattern of ErPa2N4 was computed for λ = 1.5418 Å (Cu Kα).
No peak broadening, texture or thermal motion is included.

Structure:
Cell: 11.9318 3.4992 6.0298 Å, 90.00 117.68 90.00°
Space group C2/m (No. 12)
Unique sites:
Er 0.0000 0.0000 0.0000 [2 per cell]
Pa 0.2001 0.5000 0.7006 [4 per cell]
N 0.1440 0.0000 0.4325 [4 per cell]
N 0.1511 0.5000 0.0149 [4 per cell]

Top 10 peaks for 2θ from 15° to 90°, most intense first:
hkl 1 1 -1, 2θ = 29.52°, intensity 1000; hkl 2 0 -2, 2θ = 29.66°, intensity 488; hkl 3 1 0, 2θ = 36.19°, intensity 476; hkl 2 0 1, 2θ = 28.77°, intensity 401; hkl 4 0 -1, 2θ = 29.97°, intensity 379; hkl 2 0 0, 2θ = 16.78°, intensity 255; hkl 3 1 -3, 2θ = 52.55°, intensity 251; hkl 1 1 2, 2θ = 46.66°, intensity 246; hkl 5 1 -2, 2θ = 48.26°, intensity 229; hkl 2 2 1, 2θ = 60.77°, intensity 137